# 1
For Na8TlIn3, a DFT-relaxed cell (PBE, Alexandria) gives the calculated powder XRD pattern in this record (Cu Kα X-rays).
Lines closer than 0.1° are merged.

Cell and atoms:
```
Na8TlIn3
1.0
0.0000 5.4059 7.4584
5.3545 0.0000 7.4584
5.3545 5.4059 0.0000
Na Tl In
8 1 3
direct
0.1221 0.6249 0.8779
0.1236 0.6268 0.3732
0.3732 0.8764 0.1236
0.3751 0.8779 0.6249
0.6249 0.1221 0.3751
0.6268 0.1236 0.8764
0.8764 0.3732 0.6268
0.8779 0.3751 0.1221
0.5000 0.5000 0.5000
0.0000 0.0000 0.0000
0.2500 0.2500 0.2500
0.7500 0.7500 0.7500
```

Main lines, low angle first (2θ from 10° to 90°):
d [Å]	Position (°2θ)	Rel. int.
4.377	20.29	95
4.350	20.42	95
3.804	23.38	28
2.703	33.14	26
2.677	33.47	25
2.663	33.65	100
2.296	39.24	36
2.284	39.45	35
2.257	39.95	35
1.553	59.54	18

=====

# 2
For PuF, a DFT-relaxed cell (PBE, Alexandria) gives the calculated powder XRD pattern in this record (Cu Kα X-rays).
Lines closer than 0.1° are merged.

Cell and atoms:
```
PuF
1.0
2.0473 -3.5427 0.0000
2.0473 3.5427 0.0000
0.0000 0.0000 6.4332
Pu F
2 2
direct
0.1653 0.8347 0.7500
0.8347 0.1653 0.2500
0.4989 0.5011 0.7500
0.5011 0.4989 0.2500
```

Main lines, low angle first (2θ from 10° to 90°):
d [Å]	Position (°2θ)	Rel. int.
3.544	25.12	16
3.217	27.73	29
3.104	28.76	100
2.382	37.77	11
2.046	44.26	25
1.835	49.69	23
1.727	53.04	29
1.709	53.64	18
1.311	72.00	16
1.264	75.13	10

=====

# 3
For Al7Zn2Ga2, a DFT-relaxed cell (PBE, Alexandria) gives the calculated powder XRD pattern in this record (Cu Kα X-rays).
Lines closer than 0.1° are merged.

Cell and atoms:
```
Al7Zn2Ga2
1.0
5.8076 0.0000 0.0000
0.0000 5.9008 0.0000
-0.4491 0.0000 6.0658
Al Zn Ga
7 2 2
direct
0.0000 0.0000 0.0000
0.0000 0.2589 0.5000
0.0000 0.7411 0.5000
0.5000 0.2531 0.0000
0.5000 0.2767 0.5000
0.5000 0.7233 0.5000
0.5000 0.7469 0.0000
0.2799 0.0000 0.7177
0.7201 0.0000 0.2823
0.1683 0.5000 0.1705
0.8317 0.5000 0.8295
```

Main lines, low angle first (2θ from 10° to 90°):
d [Å]	Position (°2θ)	Rel. int.
3.503	25.43	100
3.335	26.73	79
2.385	37.72	24
2.176	41.49	39
2.115	42.76	44
2.067	43.80	40
2.021	44.85	29
1.913	47.54	33
1.792	50.96	21
1.409	66.32	17